# 1
Diffraction record for CsMg3Cu4Br12. The powder diffraction line list is theoretical, not measured: it uses a cell relaxed with PBE and Cu Kα (λ = 1.5418 Å).
Neutral-atom scattering factors, no anomalous dispersion.

Cell lengths 8.998, 8.998, 8.998 Å; angles 105.68, 105.68, 105.68 degrees
Atoms (fractional coordinates):
Cs 0.000 0.000 0.000
Mg 0.000 0.570 0.430
Mg 0.430 0.000 0.570
Mg 0.570 0.430 0.000
Cu 0.082 0.500 0.918
Cu 0.500 0.500 0.500
Cu 0.500 0.918 0.082
Cu 0.918 0.082 0.500
Br 0.016 0.638 0.740
Br 0.090 0.910 0.500
Br 0.260 0.362 0.984
Br 0.333 0.667 0.500
Br 0.362 0.984 0.260
Br 0.500 0.090 0.910
Br 0.500 0.333 0.667
Br 0.638 0.740 0.016
Br 0.667 0.500 0.333
Br 0.740 0.016 0.638
Br 0.910 0.500 0.090
Br 0.984 0.260 0.362

Largest 12 diffraction maxima, in order of falling intensity, 2θ = 5–70°:
| two_theta | d [Å] | Rel. int. |
| --- | --- | --- |
| 25.34 | 3.515 | 100.0 |
| 27.23 | 3.275 | 76.7 |
| 22.09 | 4.023 | 60.2 |
| 30.99 | 2.885 | 40.6 |
| 54.56 | 1.682 | 27.6 |
| 40.11 | 2.248 | 26.8 |
| 45.61 | 1.989 | 24.5 |
| 50.44 | 1.809 | 21.8 |
| 20.71 | 4.290 | 21.4 |
| 35.78 | 2.510 | 17.4 |
| 41.37 | 2.183 | 15.1 |
| 37.18 | 2.418 | 14.7 |

***

# 2
Diffraction record for Zn4Ni15Ge. The powder diffraction line list is theoretical, not measured: it uses a cell relaxed with PBE and Cu Kα (λ = 1.5418 Å).
Neutral-atom scattering factors, no anomalous dispersion.

Cell lengths 3.575, 3.575, 17.930 Å; angles 90.00, 90.00, 90.00 degrees
Atoms (fractional coordinates):
Zn 0.000 0.000 0.100
Zn 0.000 0.000 0.300
Zn 0.000 0.000 0.700
Zn 0.000 0.000 0.900
Ni 0.000 0.500 0.000
Ni 0.000 0.500 0.200
Ni 0.000 0.500 0.401
Ni 0.000 0.500 0.599
Ni 0.000 0.500 0.800
Ni 0.500 0.000 0.000
Ni 0.500 0.000 0.200
Ni 0.500 0.000 0.401
Ni 0.500 0.000 0.599
Ni 0.500 0.000 0.800
Ni 0.500 0.500 0.100
Ni 0.500 0.500 0.301
Ni 0.500 0.500 0.500
Ni 0.500 0.500 0.699
Ni 0.500 0.500 0.900
Ge 0.000 0.000 0.500

Largest 3 diffraction maxima, in order of falling intensity, 2θ = 5–70°:
| two_theta | d [Å] | Rel. int. |
| --- | --- | --- |
| 43.81 | 2.066 | 100.0 |
| 51.09 | 1.788 | 31.0 |
| 50.93 | 1.793 | 15.7 |

***

# 3
Diffraction record for Y2Er5Sc12. The powder diffraction line list is theoretical, not measured: it uses a cell relaxed with PBE and Cu Kα (λ = 1.5418 Å).
Neutral-atom scattering factors, no anomalous dispersion.

Cell lengths 8.636, 8.636, 8.106 Å; angles 91.70, 91.70, 59.49 degrees
Atoms (fractional coordinates):
Y 0.188 0.812 0.000
Y 0.812 0.188 0.000
Er 0.203 0.203 0.004
Er 0.264 0.264 0.422
Er 0.500 0.500 0.500
Er 0.736 0.736 0.578
Er 0.797 0.797 0.996
Sc 0.053 0.053 0.336
Sc 0.063 0.683 0.344
Sc 0.166 0.525 0.750
Sc 0.317 0.937 0.656
Sc 0.409 0.409 0.118
Sc 0.475 0.834 0.250
Sc 0.525 0.166 0.750
Sc 0.591 0.591 0.882
Sc 0.683 0.063 0.344
Sc 0.834 0.475 0.250
Sc 0.937 0.317 0.656
Sc 0.947 0.947 0.664

Largest 12 diffraction maxima, in order of falling intensity, 2θ = 5–70°:
| two_theta | d [Å] | Rel. int. |
| --- | --- | --- |
| 33.17 | 2.701 | 100.0 |
| 33.91 | 2.644 | 38.8 |
| 35.16 | 2.552 | 38.6 |
| 16.04 | 5.526 | 33.2 |
| 20.73 | 4.284 | 31.5 |
| 30.71 | 2.911 | 30.0 |
| 30.37 | 2.943 | 28.8 |
| 32.40 | 2.763 | 25.0 |
| 31.72 | 2.821 | 23.8 |
| 21.94 | 4.051 | 22.7 |
| 23.92 | 3.719 | 19.0 |
| 59.41 | 1.556 | 15.9 |

***

# 4
Diffraction record for ScAu5. The powder diffraction line list is theoretical, not measured: it uses a cell relaxed with PBE and Cu Kα (λ = 1.5418 Å).
Neutral-atom scattering factors, no anomalous dispersion.

Cell lengths 3.549, 3.549, 8.846 Å; angles 90.00, 90.00, 90.00 degrees
Atoms (fractional coordinates):
Sc 0.000 0.000 0.000
Au 0.000 0.000 0.332
Au 0.000 0.000 0.668
Au 0.500 0.500 0.165
Au 0.500 0.500 0.500
Au 0.500 0.500 0.835

Largest 12 diffraction maxima, in order of falling intensity, 2θ = 5–70°:
| two_theta | d [Å] | Rel. int. |
| --- | --- | --- |
| 39.74 | 2.268 | 100.0 |
| 35.78 | 2.510 | 66.5 |
| 66.95 | 1.398 | 43.6 |
| 51.49 | 1.775 | 23.8 |
| 10.00 | 8.846 | 11.8 |
| 63.05 | 1.474 | 6.5 |
| 27.07 | 3.294 | 5.9 |
| 32.34 | 2.768 | 4.3 |
| 25.09 | 3.549 | 3.5 |
| 20.08 | 4.423 | 2.8 |
| 37.24 | 2.415 | 2.5 |
| 41.36 | 2.183 | 2.0 |

***

# 5
Diffraction record for Sm3ZrAl8. The powder diffraction line list is theoretical, not measured: it uses a cell relaxed with PBE and Cu Kα (λ = 1.5418 Å).
Neutral-atom scattering factors, no anomalous dispersion.

Cell lengths 9.639, 9.639, 9.639 Å; angles 33.52, 33.52, 33.52 degrees
Atoms (fractional coordinates):
Sm 0.000 0.000 0.000
Sm 0.125 0.125 0.125
Sm 0.501 0.501 0.501
Zr 0.626 0.626 0.626
Al 0.059 0.562 0.562
Al 0.064 0.064 0.566
Al 0.064 0.566 0.064
Al 0.313 0.313 0.313
Al 0.562 0.059 0.562
Al 0.562 0.562 0.059
Al 0.566 0.064 0.064
Al 0.813 0.813 0.813

Largest 12 diffraction maxima, in order of falling intensity, 2θ = 5–70°:
| two_theta | d [Å] | Rel. int. |
| --- | --- | --- |
| 37.94 | 2.371 | 100.0 |
| 32.19 | 2.781 | 94.6 |
| 19.55 | 4.541 | 55.2 |
| 57.40 | 1.605 | 36.2 |
| 61.24 | 1.514 | 32.4 |
| 67.35 | 1.390 | 21.5 |
| 50.59 | 1.804 | 14.2 |
| 46.17 | 1.966 | 6.4 |
| 39.70 | 2.270 | 6.0 |
| 18.72 | 4.741 | 1.8 |
| 9.73 | 9.089 | 1.7 |
| 24.67 | 3.609 | 1.2 |

***

# 6
Diffraction record for MgCu4O6. The powder diffraction line list is theoretical, not measured: it uses a cell relaxed with PBE and Cu Kα (λ = 1.5418 Å).
Neutral-atom scattering factors, no anomalous dispersion.

Cell lengths 5.131, 5.131, 14.582 Å; angles 90.00, 90.00, 146.56 degrees
Atoms (fractional coordinates):
Mg 0.163 0.837 0.750
Mg 0.837 0.163 0.250
Cu 0.090 0.910 0.137
Cu 0.090 0.910 0.363
Cu 0.360 0.640 0.044
Cu 0.360 0.640 0.456
Cu 0.640 0.360 0.544
Cu 0.640 0.360 0.956
Cu 0.910 0.090 0.637
Cu 0.910 0.090 0.863
O 0.000 0.000 0.000
O 0.000 0.000 0.500
O 0.192 0.808 0.250
O 0.286 0.714 0.579
O 0.286 0.714 0.921
O 0.445 0.555 0.160
O 0.445 0.555 0.340
O 0.555 0.445 0.660
O 0.555 0.445 0.840
O 0.714 0.286 0.079
O 0.714 0.286 0.421
O 0.808 0.192 0.750

Largest 12 diffraction maxima, in order of falling intensity, 2θ = 5–70°:
| two_theta | d [Å] | Rel. int. |
| --- | --- | --- |
| 35.80 | 2.508 | 100.0 |
| 12.14 | 7.291 | 70.1 |
| 43.07 | 2.100 | 69.3 |
| 41.64 | 2.169 | 53.6 |
| 45.36 | 1.999 | 47.8 |
| 62.16 | 1.493 | 40.7 |
| 34.01 | 2.636 | 31.7 |
| 36.77 | 2.444 | 31.1 |
| 36.57 | 2.457 | 30.8 |
| 65.38 | 1.427 | 30.1 |
| 60.42 | 1.532 | 27.7 |
| 32.25 | 2.776 | 26.6 |

***

# 7
Diffraction record for Pr2Ho4Sc3. The powder diffraction line list is theoretical, not measured: it uses a cell relaxed with PBE and Cu Kα (λ = 1.5418 Å).
Neutral-atom scattering factors, no anomalous dispersion.

Cell lengths 3.509, 3.509, 32.556 Å; angles 90.00, 90.00, 120.00 degrees
Atoms (fractional coordinates):
Pr 0.000 0.000 0.000
Pr 0.000 0.000 0.168
Ho 0.000 0.000 0.494
Ho 0.000 0.000 0.656
Ho 0.333 0.667 0.744
Ho 0.333 0.667 0.906
Sc 0.000 0.000 0.825
Sc 0.333 0.667 0.086
Sc 0.333 0.667 0.574

Largest 12 diffraction maxima, in order of falling intensity, 2θ = 5–70°:
| two_theta | d [Å] | Rel. int. |
| --- | --- | --- |
| 33.81 | 2.651 | 100.0 |
| 5.43 | 16.278 | 43.8 |
| 29.39 | 3.039 | 28.2 |
| 10.87 | 8.139 | 23.5 |
| 52.15 | 1.754 | 23.0 |
| 33.02 | 2.713 | 21.0 |
| 63.11 | 1.473 | 19.2 |
| 32.52 | 2.754 | 17.1 |
| 29.91 | 2.987 | 16.0 |
| 44.78 | 2.024 | 15.8 |
| 63.60 | 1.463 | 15.8 |
| 59.48 | 1.554 | 14.8 |

***

# 8
Diffraction record for La10NdHo4. The powder diffraction line list is theoretical, not measured: it uses a cell relaxed with PBE and Cu Kα (λ = 1.5418 Å).
Neutral-atom scattering factors, no anomalous dispersion.

Cell lengths 9.116, 9.116, 9.116 Å; angles 100.96, 100.96, 128.30 degrees
Atoms (fractional coordinates):
La 0.009 0.790 0.218
La 0.210 0.428 0.218
La 0.210 0.991 0.782
La 0.250 0.750 0.500
La 0.428 0.210 0.218
La 0.572 0.790 0.782
La 0.750 0.250 0.500
La 0.790 0.009 0.218
La 0.790 0.572 0.782
La 0.991 0.210 0.782
Nd 0.500 0.500 0.000
Ho 0.270 0.270 0.541
Ho 0.270 0.730 0.000
Ho 0.730 0.270 0.000
Ho 0.730 0.730 0.459

Largest 12 diffraction maxima, in order of falling intensity, 2θ = 5–70°:
| two_theta | d [Å] | Rel. int. |
| --- | --- | --- |
| 30.83 | 2.900 | 100.0 |
| 31.34 | 2.854 | 96.6 |
| 27.20 | 3.279 | 47.5 |
| 29.96 | 2.983 | 40.0 |
| 56.09 | 1.640 | 30.9 |
| 40.02 | 2.253 | 29.2 |
| 44.16 | 2.051 | 28.7 |
| 33.23 | 2.696 | 28.0 |
| 65.45 | 1.426 | 27.6 |
| 65.63 | 1.422 | 22.4 |
| 52.41 | 1.746 | 20.2 |
| 55.14 | 1.666 | 18.8 |

***

# 9
Diffraction record for Sc6Ir5. The powder diffraction line list is theoretical, not measured: it uses a cell relaxed with PBE and Cu Kα (λ = 1.5418 Å).
Neutral-atom scattering factors, no anomalous dispersion.

Cell lengths 7.912, 7.912, 7.912 Å; angles 146.25, 133.12, 59.01 degrees
Atoms (fractional coordinates):
Sc 0.081 0.336 0.745
Sc 0.243 0.000 0.243
Sc 0.410 0.664 0.745
Sc 0.590 0.336 0.255
Sc 0.757 0.000 0.757
Sc 0.919 0.664 0.255
Ir 0.170 0.170 0.000
Ir 0.335 0.835 0.500
Ir 0.500 0.500 0.000
Ir 0.665 0.165 0.500
Ir 0.830 0.830 0.000

Largest 12 diffraction maxima, in order of falling intensity, 2θ = 5–70°:
| two_theta | d [Å] | Rel. int. |
| --- | --- | --- |
| 39.89 | 2.260 | 100.0 |
| 39.24 | 2.296 | 52.3 |
| 27.47 | 3.247 | 40.8 |
| 28.35 | 3.148 | 18.9 |
| 49.11 | 1.855 | 18.1 |
| 56.69 | 1.624 | 17.6 |
| 15.48 | 5.725 | 13.0 |
| 12.86 | 6.886 | 9.4 |
| 23.99 | 3.710 | 9.1 |
| 64.59 | 1.443 | 8.3 |
| 58.66 | 1.574 | 8.0 |
| 65.96 | 1.416 | 7.9 |

***

# 10
Diffraction record for Dy6BiS4. The powder diffraction line list is theoretical, not measured: it uses a cell relaxed with PBE and Cu Kα (λ = 1.5418 Å).
Neutral-atom scattering factors, no anomalous dispersion.

Cell lengths 6.747, 6.747, 20.113 Å; angles 90.00, 90.00, 145.37 degrees
Atoms (fractional coordinates):
Dy 0.000 0.000 0.000
Dy 0.000 0.000 0.500
Dy 0.151 0.849 0.750
Dy 0.272 0.728 0.085
Dy 0.272 0.728 0.415
Dy 0.461 0.539 0.657
Dy 0.461 0.539 0.843
Dy 0.539 0.461 0.157
Dy 0.539 0.461 0.343
Dy 0.728 0.272 0.585
Dy 0.728 0.272 0.915
Dy 0.849 0.151 0.250
Bi 0.163 0.837 0.250
Bi 0.837 0.163 0.750
S 0.094 0.906 0.621
S 0.094 0.906 0.879
S 0.361 0.639 0.538
S 0.361 0.639 0.962
S 0.639 0.361 0.038
S 0.639 0.361 0.462
S 0.906 0.094 0.121
S 0.906 0.094 0.379

Largest 12 diffraction maxima, in order of falling intensity, 2θ = 5–70°:
| two_theta | d [Å] | Rel. int. |
| --- | --- | --- |
| 31.78 | 2.816 | 100.0 |
| 30.05 | 2.974 | 84.2 |
| 29.29 | 3.049 | 63.1 |
| 30.81 | 2.902 | 41.8 |
| 45.15 | 2.008 | 32.6 |
| 55.20 | 1.664 | 30.9 |
| 55.39 | 1.659 | 23.7 |
| 33.34 | 2.687 | 23.1 |
| 43.03 | 2.102 | 20.5 |
| 29.12 | 3.067 | 19.9 |
| 45.56 | 1.991 | 18.2 |
| 47.64 | 1.909 | 17.2 |

***

# 11
Diffraction record for La5NiCl5. The powder diffraction line list is theoretical, not measured: it uses a cell relaxed with PBE and Cu Kα (λ = 1.5418 Å).
Neutral-atom scattering factors, no anomalous dispersion.

Cell lengths 7.084, 7.084, 8.497 Å; angles 108.24, 108.24, 48.93 degrees
Atoms (fractional coordinates):
La 0.000 0.000 0.000
La 0.326 0.326 0.152
La 0.348 0.348 0.699
La 0.652 0.652 0.301
La 0.674 0.674 0.848
Ni 0.500 0.500 0.000
Cl 0.154 0.154 0.805
Cl 0.163 0.163 0.356
Cl 0.500 0.500 0.500
Cl 0.837 0.837 0.644
Cl 0.846 0.846 0.195

Largest 12 diffraction maxima, in order of falling intensity, 2θ = 5–70°:
| two_theta | d [Å] | Rel. int. |
| --- | --- | --- |
| 30.31 | 2.949 | 100.0 |
| 30.47 | 2.933 | 99.8 |
| 30.79 | 2.904 | 83.4 |
| 43.52 | 2.080 | 71.9 |
| 25.90 | 3.441 | 64.4 |
| 43.87 | 2.064 | 61.0 |
| 26.81 | 3.325 | 56.5 |
| 11.09 | 7.979 | 55.2 |
| 53.24 | 1.720 | 32.5 |
| 42.56 | 2.124 | 31.9 |
| 55.25 | 1.663 | 31.4 |
| 44.91 | 2.018 | 28.9 |

***

# 12
Diffraction record for CeEr5Al4. The powder diffraction line list is theoretical, not measured: it uses a cell relaxed with PBE and Cu Kα (λ = 1.5418 Å).
Neutral-atom scattering factors, no anomalous dispersion.

Cell lengths 3.400, 3.400, 20.845 Å; angles 90.00, 90.00, 90.00 degrees
Atoms (fractional coordinates):
Ce 0.000 0.000 0.000
Er 0.500 0.500 0.122
Er 0.500 0.500 0.311
Er 0.500 0.500 0.500
Er 0.500 0.500 0.689
Er 0.500 0.500 0.878
Al 0.000 0.000 0.216
Al 0.000 0.000 0.405
Al 0.000 0.000 0.595
Al 0.000 0.000 0.784

Largest 12 diffraction maxima, in order of falling intensity, 2θ = 5–70°:
| two_theta | d [Å] | Rel. int. |
| --- | --- | --- |
| 34.02 | 2.635 | 100.0 |
| 37.40 | 2.404 | 47.3 |
| 26.21 | 3.400 | 34.4 |
| 65.32 | 1.429 | 30.3 |
| 21.31 | 4.169 | 20.1 |
| 43.44 | 2.083 | 19.7 |
| 53.93 | 1.700 | 16.5 |
| 58.62 | 1.575 | 16.3 |
| 55.52 | 1.655 | 12.6 |
| 31.41 | 2.848 | 10.9 |
| 25.64 | 3.474 | 9.9 |
| 45.90 | 1.977 | 8.4 |